This entry pairs a crystal structure of Ba2LiV2Si4O14 with its computed powder X-ray diffraction pattern. Radiation: CuKα. Structure: DFT lattice parameters and positions (GGA+U).

Largest 10 diffraction maxima, low angle first, 2θ from 15° to 90°:
2theta  I (rel.)  index
21.1  52  1 1 -1
26.3  80  0 1 2
26.5  92  1 1 1
26.9  100  1 1 -2
29.9  71  1 2 0
30.0  79  1 2 -1
32.3  70  2 0 -1
37.3  51  0 1 3
40.9  65  2 2 -1
42.5  57  2 1 -3

Crystal structure
Cell lengths 5.539, 7.290, 8.089 Å; angles 90.00, 108.79, 90.00 degrees
Positions (direct):
Ba  0.000  0.000  0.000
Ba  0.401  0.500  0.803
Li  0.890  0.000  0.410
V  0.082  0.500  0.188
V  0.336  0.000  0.621
Si  0.583  0.228  0.189
Si  0.583  0.772  0.189
Si  0.812  0.276  0.613
Si  0.812  0.724  0.613
O  0.096  0.191  0.689
O  0.096  0.809  0.689
O  0.187  0.500  0.401
O  0.201  0.000  0.385
O  0.299  0.313  0.108
O  0.299  0.687  0.108
O  0.571  0.000  0.139
O  0.618  0.196  0.707
O  0.618  0.804  0.707
O  0.701  0.232  0.402
O  0.701  0.768  0.402
O  0.790  0.315  0.106
O  0.790  0.685  0.106
O  0.831  0.500  0.651